The following is a theoretical X-ray powder pattern of LiNiP2O7. It was derived from the GGA+U geometry in the Materials Project, using Cu Kα, 1.54184 Å.
No peak broadening, texture or thermal motion is included.

Structural model:
a = 5.129 Å, b = 6.130 Å, c = 8.687 Å
α = 70.65°, β = 88.38°, γ = 86.77°
Space group P-1 (No. 2)
Asymmetric unit:
Li (0.225, 0.311, 0.023)
Ni (0.232, 0.940, 0.770)
P (0.213, 0.300, 0.367)
P (0.306, 0.765, 0.158)
O (0.055, 0.699, 0.706)
O (0.123, 0.971, 0.158)
O (0.229, 0.181, 0.548)
O (0.232, 0.671, 0.021)
O (0.265, 0.569, 0.334)
O (0.407, 0.176, 0.855)
O (0.420, 0.216, 0.265)

Most intense lines, 2θ = 10–90°, low angle first:
15.34 deg, d = 5.777 Å, I = 43
21.55 deg, d = 4.124 Å, I = 13
21.69 deg, d = 4.098 Å, I = 52
22.70 deg, d = 3.917 Å, I = 59
24.03 deg, d = 3.704 Å, I = 100
30.64 deg, d = 2.918 Å, I = 41
33.25 deg, d = 2.694 Å, I = 20
35.04 deg, d = 2.561 Å, I = 34
35.38 deg, d = 2.537 Å, I = 13
40.94 deg, d = 2.204 Å, I = 21

The following is a theoretical X-ray powder pattern of LiNiPO4. It was derived from the GGA+U geometry in the Materials Project, using Cu Kα, 1.54184 Å.
No peak broadening, texture or thermal motion is included.

Structural model:
a = 6.097 Å, b = 7.541 Å, c = 16.149 Å
α = 90.00°, β = 100.22°, γ = 90.00°
Space group C2/c (No. 15)
Asymmetric unit:
Li (0.109, 0.182, 0.436)
Ni (0.247, 0.422, 0.749)
P (0.051, 0.174, 0.639)
O (0.064, 0.006, 0.344)
O (0.071, 0.344, 0.839)
O (0.100, 0.184, 0.550)
O (0.224, 0.328, 0.295)

Most intense lines, 2θ = 10–90°, low angle first:
11.13 deg, d = 7.946 Å, I = 100
18.91 deg, d = 4.693 Å, I = 8
20.45 deg, d = 4.342 Å, I = 20
26.16 deg, d = 3.407 Å, I = 7
29.07 deg, d = 3.072 Å, I = 12
29.91 deg, d = 2.987 Å, I = 7
33.76 deg, d = 2.655 Å, I = 6
34.10 deg, d = 2.629 Å, I = 6
39.58 deg, d = 2.277 Å, I = 8
40.78 deg, d = 2.213 Å, I = 10

The following is a theoretical X-ray powder pattern of LiNiPO4. It was derived from the GGA+U geometry in the Materials Project, using Cu Kα, 1.54184 Å.
No peak broadening, texture or thermal motion is included.

Structural model:
a = 7.365 Å, b = 4.786 Å, c = 17.632 Å
α = 90.00°, β = 92.60°, γ = 90.00°
Space group P2_1/c (No. 14)
Asymmetric unit:
Li (0.137, 0.220, 0.224)
Li (0.346, 0.717, 0.986)
Ni (0.042, 0.214, 0.900)
Ni (0.497, 0.650, 0.173)
P (0.225, 0.191, 0.569)
P (0.255, 0.642, 0.321)
O (0.073, 0.506, 0.293)
O (0.108, 0.050, 0.629)
O (0.172, 0.098, 0.488)
O (0.212, 0.513, 0.579)
O (0.261, 0.539, 0.809)
O (0.280, 0.540, 0.404)
O (0.412, 0.506, 0.275)
O (0.425, 0.079, 0.583)

Most intense lines, 2θ = 10–90°, low angle first:
16.04 deg, d = 5.524 Å, I = 70
20.17 deg, d = 4.404 Å, I = 51
22.86 deg, d = 3.891 Å, I = 44
24.02 deg, d = 3.705 Å, I = 58
24.15 deg, d = 3.685 Å, I = 36
29.75 deg, d = 3.003 Å, I = 37
30.51 deg, d = 2.930 Å, I = 49
31.98 deg, d = 2.799 Å, I = 100
32.69 deg, d = 2.739 Å, I = 55
40.02 deg, d = 2.253 Å, I = 34

The following is a theoretical X-ray powder pattern of LiNiPO4. It was derived from the GGA+U geometry in the Materials Project, using Cu Kα, 1.54184 Å.
No peak broadening, texture or thermal motion is included.

Structural model:
a = 7.971 Å, b = 8.275 Å, c = 5.105 Å
α = 90.00°, β = 90.00°, γ = 90.00°
Space group Pna2_1 (No. 33)
Asymmetric unit:
Li (0.030, 0.196, 0.000)
Ni (0.163, 0.554, 0.121)
P (0.250, 0.427, 0.660)
O (0.068, 0.417, 0.793)
O (0.139, 0.953, 0.406)
O (0.209, 0.777, 0.998)
O (0.241, 0.078, 0.980)

Most intense lines, 2θ = 10–90°, low angle first:
15.43 deg, d = 5.741 Å, I = 62
20.44 deg, d = 4.345 Å, I = 65
21.48 deg, d = 4.138 Å, I = 100
22.31 deg, d = 3.985 Å, I = 88
28.41 deg, d = 3.141 Å, I = 46
29.97 deg, d = 2.981 Å, I = 24
37.04 deg, d = 2.427 Å, I = 55
39.76 deg, d = 2.267 Å, I = 30
50.82 deg, d = 1.797 Å, I = 31
62.01 deg, d = 1.497 Å, I = 27

The following is a theoretical X-ray powder pattern of LiNiP2O7. It was derived from the GGA+U geometry in the Materials Project, using Cu Kα, 1.54184 Å.
No peak broadening, texture or thermal motion is included.

Structural model:
a = 6.178 Å, b = 6.981 Å, c = 7.161 Å
α = 75.05°, β = 65.04°, γ = 79.15°
Space group P-1 (No. 2)
Asymmetric unit:
Li (0.075, 0.170, 0.334)
Ni (0.320, 0.330, 0.603)
P (0.225, 0.695, 0.259)
P (0.367, 0.863, 0.802)
O (0.033, 0.570, 0.282)
O (0.118, 0.885, 0.345)
O (0.166, 0.777, 0.787)
O (0.305, 0.082, 0.820)
O (0.387, 0.178, 0.371)
O (0.397, 0.578, 0.365)
O (0.403, 0.745, 0.014)

Most intense lines, 2θ = 10–90°, low angle first:
13.92 deg, d = 6.360 Å, I = 73
15.89 deg, d = 5.578 Å, I = 44
17.17 deg, d = 5.164 Å, I = 100
18.31 deg, d = 4.844 Å, I = 52
26.54 deg, d = 3.358 Å, I = 34
27.43 deg, d = 3.251 Å, I = 38
27.73 deg, d = 3.217 Å, I = 41
28.54 deg, d = 3.127 Å, I = 36
29.91 deg, d = 2.988 Å, I = 78
32.57 deg, d = 2.749 Å, I = 83

The following is a theoretical X-ray powder pattern of LiNiPO4. It was derived from the GGA+U geometry in the Materials Project, using Cu Kα, 1.54184 Å.
No peak broadening, texture or thermal motion is included.

Structural model:
a = 5.166 Å, b = 7.584 Å, c = 8.055 Å
α = 87.65°, β = 89.73°, γ = 78.09°
Space group P-1 (No. 2)
Asymmetric unit:
Li (0.186, 0.333, 0.078)
Li (0.195, 0.815, 0.402)
Ni (0.301, 0.523, 0.711)
Ni (0.365, 0.056, 0.814)
P (0.251, 0.721, 0.062)
P (0.287, 0.224, 0.417)
O (0.034, 0.172, 0.927)
O (0.081, 0.367, 0.320)
O (0.191, 0.205, 0.599)
O (0.238, 0.558, 0.953)
O (0.318, 0.041, 0.330)
O (0.368, 0.657, 0.236)
O (0.441, 0.716, 0.587)
O (0.443, 0.836, 0.982)

Most intense lines, 2θ = 10–90°, low angle first:
17.55 deg, d = 5.054 Å, I = 93
20.75 deg, d = 4.280 Å, I = 64
24.74 deg, d = 3.599 Å, I = 68
26.04 deg, d = 3.422 Å, I = 86
26.73 deg, d = 3.336 Å, I = 100
29.33 deg, d = 3.045 Å, I = 79
32.15 deg, d = 2.784 Å, I = 55
33.53 deg, d = 2.673 Å, I = 69
34.32 deg, d = 2.613 Å, I = 56
38.34 deg, d = 2.348 Å, I = 87

What did the second record say?
The following is a theoretical X-ray powder pattern of LiNiPO4. It was derived from the GGA+U geometry in the Materials Project, using Cu Kα, 1.54184 Å.
No peak broadening, texture or thermal motion is included.

Structural model:
a = 6.097 Å, b = 7.541 Å, c = 16.149 Å
α = 90.00°, β = 100.22°, γ = 90.00°
Space group C2/c (No. 15)
Asymmetric unit:
Li (0.109, 0.182, 0.436)
Ni (0.247, 0.422, 0.749)
P (0.051, 0.174, 0.639)
O (0.064, 0.006, 0.344)
O (0.071, 0.344, 0.839)
O (0.100, 0.184, 0.550)
O (0.224, 0.328, 0.295)

Most intense lines, 2θ = 10–90°, low angle first:
11.13 deg, d = 7.946 Å, I = 100
18.91 deg, d = 4.693 Å, I = 8
20.45 deg, d = 4.342 Å, I = 20
26.16 deg, d = 3.407 Å, I = 7
29.07 deg, d = 3.072 Å, I = 12
29.91 deg, d = 2.987 Å, I = 7
33.76 deg, d = 2.655 Å, I = 6
34.10 deg, d = 2.629 Å, I = 6
39.58 deg, d = 2.277 Å, I = 8
40.78 deg, d = 2.213 Å, I = 10